1.
Computed X-ray diffraction stick pattern of YOs2O8 for CuKα, from DFT lattice parameters and positions (GGA-PBE).
Lines closer than 0.1° are merged.

Largest 8 diffraction maxima, in order of rising 2θ, 10° ≤ 2θ ≤ 80°:
2θ 21.94, intensity 1000; 2θ 28.93, intensity 406; 2θ 33.37, intensity 185; 2θ 36.60, intensity 135; 2θ 44.74, intensity 137; 2θ 47.32, intensity 248; 2θ 53.28, intensity 118; 2θ 64.64, intensity 99

Structural model:
```
data_YOs2O8
_chemical_formula_sum 'Y1 Os2 O8'
_symmetry_space_group_name_H-M 'P -3 m 1'
_symmetry_Int_Tables_number 164
_symmetry_space_group_name_Hall '-P 3 2"'
_cell_length_a 6.1720
_cell_length_b 6.1720
_cell_length_c 6.2108
_cell_angle_alpha 90.00
_cell_angle_beta 90.00
_cell_angle_gamma 120.00
loop_
_atom_site_label
_atom_site_fract_x
_atom_site_fract_y
_atom_site_fract_z
_atom_site_occupancy
Y1 0.0000 0.0000 0.0000 1
Os1 0.3333 0.6667 0.2999 1
O1 0.1767 0.3534 0.1971 1
O2 0.3333 0.6667 0.5806 1
```


2.
Computed X-ray diffraction stick pattern of Y3OsO7 for CuKα, from DFT lattice parameters and positions (GGA-PBE).
Lines closer than 0.1° are merged.

Largest 8 diffraction maxima, in order of rising 2θ, 10° ≤ 2θ ≤ 80°:
2θ 14.45, intensity 278; 2θ 28.06, intensity 204; 2θ 29.13, intensity 1000; 2θ 29.41, intensity 954; 2θ 33.89, intensity 403; 2θ 48.76, intensity 597; 2θ 57.58, intensity 247; 2θ 58.06, intensity 399

Structural model:
```
data_Y3OsO7
_chemical_formula_sum 'Y12 Os4 O28'
_symmetry_space_group_name_H-M 'C 2 2 21'
_symmetry_Int_Tables_number 20
_cell_length_a 7.535
_cell_length_b 10.548
_cell_length_c 7.430
_cell_angle_alpha 90.00
_cell_angle_beta 90.00
_cell_angle_gamma 90.00
loop_
_symmetry_equiv_pos_as_xyz
'x,y,z'
'-x,-y,z+1/2'
'x,-y,-z'
'-x,y,-z+1/2'
'x+1/2,y+1/2,z'
'-x+1/2,-y+1/2,z+1/2'
'x+1/2,-y+1/2,-z'
'-x+1/2,y+1/2,-z+1/2'
loop_
_atom_site_label
_atom_site_fract_x
_atom_site_fract_y
_atom_site_fract_z
_atom_site_occupancy
Y1 0.022 0.000 0.000 1
Y2 0.233 0.267 0.754 1
Os1 0.000 0.500 0.000 1
O1 0.000 0.131 0.250 1
O2 0.000 0.138 0.750 1
O3 0.000 0.430 0.750 1
O4 0.188 0.375 0.034 1
O5 0.201 0.378 0.474 1
```


3.
Computed X-ray diffraction stick pattern of YOsO4 for CuKα, from DFT lattice parameters and positions (GGA-PBE).
Lines closer than 0.1° are merged.

Largest 8 diffraction maxima, in order of rising 2θ, 10° ≤ 2θ ≤ 80°:
2θ 20.31, intensity 290; 2θ 24.39, intensity 234; 2θ 28.83, intensity 1000; 2θ 29.64, intensity 497; 2θ 30.32, intensity 223; 2θ 33.51, intensity 428; 2θ 35.30, intensity 236; 2θ 50.75, intensity 200

Structural model:
```
data_YOsO4
_chemical_formula_sum 'Y4 Os4 O16'
_symmetry_space_group_name_H-M 'P 1 21/c 1'
_symmetry_Int_Tables_number 14
_cell_length_a 7.713
_cell_length_b 5.346
_cell_length_c 7.407
_cell_angle_alpha 90.00
_cell_angle_beta 99.85
_cell_angle_gamma 90.00
loop_
_symmetry_equiv_pos_as_xyz
'x,y,z'
'-x,-y,-z'
'-x,y+1/2,-z+1/2'
'x,-y+1/2,z+1/2'
loop_
_atom_site_label
_atom_site_fract_x
_atom_site_fract_y
_atom_site_fract_z
_atom_site_occupancy
Y1 0.147 0.215 0.392 1
Os1 0.340 0.729 0.203 1
O1 0.113 0.524 0.177 1
O2 0.189 0.015 0.121 1
O3 0.332 0.630 0.947 1
O4 0.449 0.080 0.802 1
```


4.
Computed X-ray diffraction stick pattern of Zn6OsO6 for CuKα, from DFT lattice parameters and positions (GGA-PBE).
Lines closer than 0.1° are merged.

Largest 8 diffraction maxima, in order of rising 2θ, 10° ≤ 2θ ≤ 80°:
2θ 15.51, intensity 631; 2θ 27.02, intensity 213; 2θ 31.30, intensity 445; 2θ 35.11, intensity 828; 2θ 38.59, intensity 1000; 2θ 58.21, intensity 193; 2θ 60.63, intensity 507; 2θ 65.31, intensity 185

Structural model:
```
data_Zn6OsO6
_chemical_formula_sum 'Zn6 Os1 O6'
_symmetry_space_group_name_H-M 'P m -3'
_symmetry_Int_Tables_number 200
_symmetry_space_group_name_Hall '-P 2 2 3'
_cell_length_a 5.715
_cell_length_b 5.715
_cell_length_c 5.715
_cell_angle_alpha 90.00
_cell_angle_beta 90.00
_cell_angle_gamma 90.00
loop_
_atom_site_label
_atom_site_fract_x
_atom_site_fract_y
_atom_site_fract_z
_atom_site_occupancy
Zn1 0.000 0.247 0.500 1
Os1 0.000 0.000 0.000 1
O1 0.000 0.500 0.254 1
```


5.
Computed X-ray diffraction stick pattern of P2O5 for CuKα, from DFT lattice parameters and positions (GGA-PBE).
Lines closer than 0.1° are merged.

Largest 8 diffraction maxima, in order of rising 2θ, 10° ≤ 2θ ≤ 80°:
2θ 14.98, intensity 620; 2θ 17.27, intensity 222; 2θ 21.22, intensity 1000; 2θ 26.13, intensity 314; 2θ 43.65, intensity 85; 2θ 46.05, intensity 67; 2θ 47.28, intensity 104; 2θ 52.35, intensity 72

Structural model:
```
data_P2O5
_chemical_formula_sum 'P16 O40'
_symmetry_space_group_name_H-M 'F d d 2'
_symmetry_Int_Tables_number 43
_symmetry_space_group_name_Hall 'F 2 -2d'
_cell_length_a 14.464
_cell_length_b 20.538
_cell_length_c 2.438
_cell_angle_alpha 90.00
_cell_angle_beta 90.00
_cell_angle_gamma 90.00
loop_
_atom_site_label
_atom_site_fract_x
_atom_site_fract_y
_atom_site_fract_z
_atom_site_occupancy
P1 0.084 0.451 0.000 1
O1 0.000 0.000 0.500 1
O2 0.052 0.399 0.500 1
O3 0.100 0.232 0.250 1
```


6.
Computed X-ray diffraction stick pattern of P2O5 for CuKα, from DFT lattice parameters and positions (GGA-PBE).
Lines closer than 0.1° are merged.

Largest 8 diffraction maxima, in order of rising 2θ, 10° ≤ 2θ ≤ 80°:
2θ 20.07, intensity 1000; 2θ 21.44, intensity 83; 2θ 25.22, intensity 152; 2θ 30.74, intensity 389; 2θ 33.33, intensity 254; 2θ 39.25, intensity 117; 2θ 46.15, intensity 88; 2θ 60.58, intensity 93

Structural model:
```
data_P2O5
_chemical_formula_sum 'P16 O40'
_symmetry_space_group_name_H-M 'F d d 2'
_symmetry_Int_Tables_number 43
_symmetry_space_group_name_Hall 'F 2 -2d'
_cell_length_a 8.164
_cell_length_b 16.580
_cell_length_c 5.551
_cell_angle_alpha 90.00
_cell_angle_beta 90.00
_cell_angle_gamma 90.00
loop_
_atom_site_label
_atom_site_fract_x
_atom_site_fract_y
_atom_site_fract_z
_atom_site_occupancy
P1 0.077 0.076 0.000 1
O1 0.000 0.000 0.139 1
O2 0.079 0.366 0.471 1
O3 0.083 0.308 0.030 1
```


7.
Computed X-ray diffraction stick pattern of P2O5 for CuKα, from DFT lattice parameters and positions (GGA-PBE).
Lines closer than 0.1° are merged.

Largest 8 diffraction maxima, in order of rising 2θ, 10° ≤ 2θ ≤ 80°:
2θ 15.84, intensity 1000; 2θ 16.31, intensity 835; 2θ 25.85, intensity 167; 2θ 27.33, intensity 142; 2θ 28.17, intensity 275; 2θ 34.97, intensity 114; 2θ 38.82, intensity 107; 2θ 43.90, intensity 139

Structural model:
```
data_P2O5
_chemical_formula_sum 'P24 O60'
_symmetry_space_group_name_H-M 'R 3 c'
_symmetry_Int_Tables_number 161
_symmetry_space_group_name_Hall 'R 3 -2"c'
_cell_length_a 10.8678
_cell_length_b 10.8678
_cell_length_c 13.9174
_cell_angle_alpha 90.00
_cell_angle_beta 90.00
_cell_angle_gamma 120.00
loop_
_atom_site_label
_atom_site_fract_x
_atom_site_fract_y
_atom_site_fract_z
_atom_site_occupancy
P1 0.0000 0.0000 0.9997 1
P2 0.1631 0.0295 0.3333 1
O1 0.0000 0.0000 0.1038 1
O2 0.0264 0.1453 0.8010 1
O3 0.0879 0.3672 0.9654 1
O4 0.1456 0.0274 0.4490 1
```


8.
Computed X-ray diffraction stick pattern of P4O7 for CuKα, from DFT lattice parameters and positions (GGA-PBE).
Lines closer than 0.1° are merged.

Largest 8 diffraction maxima, in order of rising 2θ, 10° ≤ 2θ ≤ 80°:
2θ 12.36, intensity 138; 2θ 16.51, intensity 1000; 2θ 17.52, intensity 406; 2θ 17.68, intensity 611; 2θ 21.12, intensity 158; 2θ 26.02, intensity 181; 2θ 28.34, intensity 254; 2θ 33.38, intensity 171

Structural model:
```
data_P4O7
_chemical_formula_sum 'P16 O28'
_symmetry_space_group_name_H-M 'P 1 21/c 1'
_symmetry_Int_Tables_number 14
_cell_length_a 7.549
_cell_length_b 10.153
_cell_length_c 12.048
_cell_angle_alpha 90.00
_cell_angle_beta 123.07
_cell_angle_gamma 90.00
loop_
_symmetry_equiv_pos_as_xyz
'x,y,z'
'-x,-y,-z'
'-x,y+1/2,-z+1/2'
'x,-y+1/2,z+1/2'
loop_
_atom_site_label
_atom_site_fract_x
_atom_site_fract_y
_atom_site_fract_z
_atom_site_occupancy
P1 0.021 0.210 0.481 1
P2 0.222 0.123 0.883 1
P3 0.366 0.104 0.161 1
P4 0.461 0.159 0.559 1
O1 0.017 0.195 0.862 1
O2 0.139 0.182 0.105 1
O3 0.186 0.047 0.770 1
O4 0.223 0.113 0.517 1
O5 0.309 0.038 0.016 1
O6 0.393 0.240 0.929 1
O7 0.482 0.728 0.327 1
```


9.
Computed X-ray diffraction stick pattern of P4O9 for CuKα, from DFT lattice parameters and positions (GGA-PBE).
Lines closer than 0.1° are merged.

Largest 8 diffraction maxima, in order of rising 2θ, 10° ≤ 2θ ≤ 80°:
2θ 12.12, intensity 377; 2θ 16.95, intensity 915; 2θ 17.41, intensity 1000; 2θ 20.51, intensity 540; 2θ 24.39, intensity 402; 2θ 27.61, intensity 574; 2θ 29.31, intensity 388; 2θ 36.94, intensity 330

Structural model:
```
data_P4O9
_chemical_formula_sum 'P48 O108'
_symmetry_space_group_name_H-M 'R -3 c'
_symmetry_Int_Tables_number 167
_symmetry_space_group_name_Hall '-R 3 2"c'
_cell_length_a 10.1903
_cell_length_b 10.1903
_cell_length_c 25.9792
_cell_angle_alpha 90.00
_cell_angle_beta 90.00
_cell_angle_gamma 120.00
loop_
_atom_site_label
_atom_site_fract_x
_atom_site_fract_y
_atom_site_fract_z
_atom_site_occupancy
P1 0.0000 0.0000 0.0758 1
P2 0.0578 0.1824 0.1685 1
O1 0.0023 0.4380 0.8562 1
O2 0.0506 0.1611 0.8134 1
O3 0.0511 0.1635 0.1074 1
```


10.
Computed X-ray diffraction stick pattern of PaPO4 for CuKα, from DFT lattice parameters and positions (GGA-PBE).
Lines closer than 0.1° are merged.

Largest 8 diffraction maxima, in order of rising 2θ, 10° ≤ 2θ ≤ 80°:
2θ 15.15, intensity 350; 2θ 19.50, intensity 264; 2θ 19.88, intensity 1000; 2θ 26.68, intensity 363; 2θ 30.01, intensity 320; 2θ 32.51, intensity 180; 2θ 33.26, intensity 323; 2θ 34.35, intensity 209

Structural model:
```
data_PaPO4
_chemical_formula_sum 'Pa4 P4 O16'
_symmetry_space_group_name_H-M 'C 2 2 21'
_symmetry_Int_Tables_number 20
_cell_length_a 7.632
_cell_length_b 9.103
_cell_length_c 6.919
_cell_angle_alpha 90.00
_cell_angle_beta 90.00
_cell_angle_gamma 90.00
loop_
_symmetry_equiv_pos_as_xyz
'x,y,z'
'-x,-y,z+1/2'
'x,-y,-z'
'-x,y,-z+1/2'
'x+1/2,y+1/2,z'
'-x+1/2,-y+1/2,z+1/2'
'x+1/2,-y+1/2,-z'
'-x+1/2,y+1/2,-z+1/2'
loop_
_atom_site_label
_atom_site_fract_x
_atom_site_fract_y
_atom_site_fract_z
_atom_site_occupancy
Pa1 0.138 0.000 0.000 1
P1 0.000 0.325 0.250 1
O1 0.043 0.226 0.073 1
O2 0.160 0.424 0.296 1
```